Simulated X-ray diffraction stick pattern of VPd4Pt for Cu Kα X-rays, from a crystal structure in Alexandria, relaxed with PBE.

Principal peaks in the range 2θ = 15–90°, sorted by position:
2θ 22.7, d = 3.912 Å, I 12.8, (1 0 1)
2θ 39.8, d = 2.263 Å, I 100.0, (1 1 -1)
2θ 40.0, d = 2.252 Å, I 32.5, (0 0 3)
2θ 46.4, d = 1.957 Å, I 64.3, (1 1 2)
2θ 67.6, d = 1.386 Å, I 13.6, (3 1 0)
2θ 67.8, d = 1.383 Å, I 13.3, (1 1 -4)
2θ 81.4, d = 1.183 Å, I 8.1, (2 2 1)
2θ 81.5, d = 1.181 Å, I 20.0, (0 2 3)
2θ 81.7, d = 1.179 Å, I 12.0, (3 1 3)
2θ 81.8, d = 1.177 Å, I 7.9, (1 1 5)

Unit cell a=4.799 b=2.776 c=6.756 alpha=90.00 beta=90.12 gamma=90.00
Fractional coordinates of all 6 atoms:
V: 0.000 0.000 0.000
Pd: 0.164 0.500 0.676
Pd: 0.325 0.000 0.328
Pd: 0.675 0.000 0.672
Pd: 0.836 0.500 0.324
Pt: 0.500 0.500 0.000